Structure and calculated powder XRD pattern of BaNb2CrO6 (a PBE+U-relaxed structure; CuKα).
Peak positions follow from Bragg's law for the DFT cell and can differ from measured ones.

Cell and atoms:
Lattice parameters (Å, degrees): 8.1637 8.1637 8.1637 90.00 90.00 90.00
Space group Fm-3m (No. 225)
Symmetry-distinct sites (fractional):
Ba1 0.0000 0.0000 0.0000 x4
Nb1 0.2500 0.2500 0.2500 x8
Cr1 0.0000 0.0000 0.5000 x4
O1 0.0000 0.2500 0.2500 x24

Most intense lines, 2θ = 15–90°, by angle:
| (hkl) | d/Å | I/Imax |
| --- | --- | --- |
| 1 1 1 | 4.713 | 11 |
| 2 2 0 | 2.886 | 100 |
| 3 1 1 | 2.461 | 7 |
| 2 2 2 | 2.357 | 3 |
| 4 0 0 | 2.041 | 34 |
| 3 3 1 | 1.873 | 3 |
| 4 2 2 | 1.666 | 39 |
| 4 4 0 | 1.443 | 20 |
| 5 3 1 | 1.380 | 2 |
| 6 2 0 | 1.291 | 17 |
| 4 4 4 | 1.178 | 7 |
| 6 4 2 | 1.091 | 20 |

Structure and calculated powder XRD pattern of Li12V3FeP4C4O28 (a PBE+U-relaxed structure; CuKα).
Peak positions follow from Bragg's law for the DFT cell and can differ from measured ones.

Cell and atoms:
Lattice parameters (Å, degrees): 8.4846 6.5993 10.0120 90.00 95.12 90.00
Space group Pm (No. 6)
Symmetry-distinct sites (fractional):
Li1 0.0000 0.0000 0.0000 x1
Li2 0.0011 0.0000 0.4998 x1
Li3 0.1859 0.5000 0.2385 x1
Li4 0.1877 0.5000 0.7382 x1
Li5 0.3704 0.2766 0.4959 x2
Li6 0.3707 0.2750 0.9956 x2
Li7 0.8170 0.2219 0.7427 x2
Li8 0.8180 0.2212 0.2425 x2
V1 0.4243 0.0000 0.7229 x1
V2 0.7642 0.5000 0.0155 x1
V3 0.7643 0.5000 0.5159 x1
Fe1 0.4287 0.0000 0.2245 x1
P1 0.5052 0.5000 0.2596 x1
P2 0.5049 0.5000 0.7596 x1
P3 0.6831 0.0000 0.4792 x1
P4 0.6828 0.0000 0.9789 x1
C1 0.0598 0.5000 0.4692 x1
C2 0.0599 0.5000 0.9693 x1
C3 0.1285 0.0000 0.7691 x1
C4 0.1287 0.0000 0.2682 x1
O1 0.0199 0.5000 0.0917 x1
O2 0.0201 0.5000 0.5918 x1
O3 0.1650 0.0000 0.1455 x1
O4 0.1682 0.0000 0.6465 x1
O5 0.2060 0.5000 0.4420 x1
O6 0.2063 0.5000 0.9423 x1
O7 0.2421 0.0000 0.3650 x1
O8 0.2418 0.0000 0.8659 x1
O9 0.4022 0.3171 0.7057 x2
O10 0.4036 0.3147 0.2066 x2
O11 0.5154 0.0000 0.0279 x1
O12 0.5160 0.0000 0.5293 x1
O13 0.5232 0.5000 0.4163 x1
O14 0.5234 0.5000 0.9161 x1
O15 0.6649 0.0000 0.3225 x1
O16 0.6653 0.0000 0.8220 x1
O17 0.6724 0.5000 0.2095 x1
O18 0.6725 0.5000 0.7099 x1
O19 0.7857 0.1830 0.0327 x2
O20 0.7859 0.1831 0.5327 x2
O21 0.9463 0.5000 0.3724 x1
O22 0.9465 0.5000 0.8723 x1
O23 0.9820 0.0000 0.2974 x1
O24 0.9821 0.0000 0.7962 x1

Most intense lines, 2θ = 15–90°, by angle:
| (hkl) | d/Å | I/Imax |
| --- | --- | --- |
| 1 1 0 | 5.201 | 16 |
| 1 0 -2 | 4.472 | 33 |
| 1 0 2 | 4.136 | 43 |
| 1 1 2 | 3.505 | 26 |
| 2 0 -2 | 3.375 | 31 |
| 0 2 0 | 3.300 | 100 |
| 3 0 0 | 2.817 | 14 |
| 0 0 4 | 2.493 | 17 |
| 1 0 -4 | 2.451 | 26 |
| 3 1 2 | 2.225 | 18 |
| 4 0 -2 | 2.012 | 22 |
| 0 4 0 | 1.650 | 15 |

Structure and calculated powder XRD pattern of Li3NbV4O8 (a PBE+U-relaxed structure; CuKα).
Peak positions follow from Bragg's law for the DFT cell and can differ from measured ones.

Cell and atoms:
Lattice parameters (Å, degrees): 10.4837 6.1477 6.1035 90.00 124.88 90.00
Space group C2/m (No. 12)
Symmetry-distinct sites (fractional):
Li1 0.0000 0.0000 0.0000 x2
Li2 0.2500 0.2500 0.0000 x4
Nb1 0.0000 0.5000 0.5000 x2
V1 0.0000 0.0000 0.5000 x2
V2 0.0000 0.5000 0.0000 x2
V3 0.2500 0.2500 0.5000 x4
O1 0.0005 0.2581 0.7425 x8
O2 0.2382 0.5000 0.7353 x4
O3 0.2503 0.0000 0.7444 x4

Most intense lines, 2θ = 15–90°, by angle:
| (hkl) | d/Å | I/Imax |
| --- | --- | --- |
| 0 0 1 | 5.005 | 100 |
| 2 0 0 | 4.300 | 10 |
| 2 2 -1 | 2.611 | 22 |
| 3 1 -2 | 2.597 | 11 |
| 4 0 -1 | 2.582 | 11 |
| 0 0 2 | 2.502 | 29 |
| 2 2 -2 | 2.166 | 74 |
| 4 0 0 | 2.150 | 36 |
| 0 4 0 | 1.537 | 11 |
| 2 2 2 | 1.533 | 21 |
| 4 0 -4 | 1.526 | 10 |
| 6 2 -2 | 1.519 | 20 |

Structure and calculated powder XRD pattern of Li6Mn5O12 (a PBE+U-relaxed structure; CuKα).
Peak positions follow from Bragg's law for the DFT cell and can differ from measured ones.

Cell and atoms:
Lattice parameters (Å, degrees): 5.0725 8.8391 9.8431 82.38 85.28 88.71
Space group P1 (No. 1)
Symmetry-distinct sites (fractional):
Li1 0.0000 0.0000 0.0000 x1
Li2 0.0012 0.6431 0.9954 x1
Li3 0.1295 0.1178 0.2257 x1
Li4 0.2473 0.9056 0.4712 x1
Li5 0.2517 0.2339 0.4625 x1
Li6 0.2872 0.5896 0.4651 x1
Li7 0.4874 0.1606 0.0001 x1
Li8 0.5078 0.8029 0.0070 x1
Li9 0.5241 0.4840 0.9979 x1
Li10 0.6372 0.6156 0.2424 x1
Li11 0.7639 0.4226 0.4675 x1
Li12 0.7750 0.0733 0.4701 x1
Mn1 0.1265 0.7810 0.2348 x1
Mn2 0.1364 0.4477 0.2304 x1
Mn3 0.3852 0.3565 0.7377 x1
Mn4 0.3880 0.0258 0.7335 x1
Mn5 0.3913 0.6956 0.7323 x1
Mn6 0.6283 0.9463 0.2367 x1
Mn7 0.6408 0.2820 0.2323 x1
Mn8 0.8849 0.5298 0.7348 x1
Mn9 0.8888 0.1919 0.7340 x1
Mn10 0.8965 0.8619 0.7306 x1
O1 0.0689 0.3743 0.6326 x1
O2 0.0730 0.0649 0.6095 x1
O3 0.1020 0.7272 0.6194 x1
O4 0.1960 0.1596 0.8443 x1
O5 0.2029 0.5267 0.8376 x1
O6 0.2028 0.8353 0.8443 x1
O7 0.2913 0.6304 0.1214 x1
O8 0.3233 0.9514 0.1222 x1
O9 0.3457 0.3118 0.1227 x1
O10 0.4247 0.7768 0.3418 x1
O11 0.4399 0.4176 0.3467 x1
O12 0.4760 0.0988 0.3463 x1
O13 0.5689 0.8779 0.6317 x1
O14 0.5764 0.5514 0.6248 x1
O15 0.5945 0.2121 0.6214 x1
O16 0.6808 0.3249 0.8455 x1
O17 0.6862 0.6644 0.8513 x1
O18 0.7316 0.0122 0.8412 x1
O19 0.7828 0.1241 0.1265 x1
O20 0.8230 0.8096 0.1223 x1
O21 0.8273 0.4556 0.1271 x1
O22 0.9367 0.9229 0.3408 x1
O23 0.9464 0.2777 0.3422 x1
O24 0.9828 0.5938 0.3426 x1

Most intense lines, 2θ = 15–90°, by angle:
| (hkl) | d/Å | I/Imax |
| --- | --- | --- |
| 0 0 2 | 4.862 | 100 |
| 1 3 0 | 2.541 | 13 |
| 2 0 1 | 2.495 | 11 |
| -1 3 1 | 2.480 | 11 |
| 1 3 -2 | 2.122 | 27 |
| 2 0 3 | 2.075 | 26 |
| -1 3 3 | 2.062 | 25 |
| 1 -3 3 | 1.920 | 7 |
| 1 -3 5 | 1.487 | 7 |
| 3 3 1 | 1.480 | 7 |
| 0 6 1 | 1.473 | 13 |
| 3 -3 0 | 1.452 | 7 |

Structure and calculated powder XRD pattern of Sr7Mn4O15 (a PBE+U-relaxed structure; CuKα).
Peak positions follow from Bragg's law for the DFT cell and can differ from measured ones.

Cell and atoms:
Lattice parameters (Å, degrees): 6.8945 9.7704 10.5889 90.00 91.60 90.00
Space group Pc (No. 7)
Symmetry-distinct sites (fractional):
Sr1 0.0000 0.0632 0.0000 x2
Sr2 0.0034 0.4351 0.0717 x2
Sr3 0.1803 0.2508 0.3699 x2
Sr4 0.3529 0.1011 0.7320 x2
Sr5 0.5004 0.2441 0.0411 x2
Sr6 0.6490 0.4024 0.3401 x2
Sr7 0.8236 0.2518 0.7037 x2
Mn1 0.2217 0.4166 0.8156 x2
Mn2 0.4253 0.4180 0.6101 x2
Mn3 0.5774 0.0835 0.4601 x2
Mn4 0.7819 0.0803 0.2552 x2
O1 0.0271 0.9996 0.2439 x2
O2 0.1608 0.3322 0.6522 x2
O3 0.1617 0.2666 0.9148 x2
O4 0.3168 0.4752 0.4523 x2
O5 0.3225 0.4251 0.1993 x2
O6 0.3383 0.0037 0.4893 x2
O7 0.4937 0.3484 0.7790 x2
O8 0.4976 0.2525 0.5299 x2
O9 0.5087 0.1491 0.2879 x2
O10 0.6653 0.4973 0.5831 x2
O11 0.6805 0.0753 0.8734 x2
O12 0.6838 0.0303 0.6195 x2
O13 0.8411 0.1670 0.4174 x2
O14 0.8428 0.2305 0.1562 x2
O15 0.9756 0.4977 0.8271 x2

Most intense lines, 2θ = 15–90°, by angle:
| (hkl) | d/Å | I/Imax |
| --- | --- | --- |
| 0 1 3 | 3.319 | 32 |
| 1 2 -2 | 3.209 | 30 |
| 2 1 -1 | 3.130 | 26 |
| 2 0 2 | 2.852 | 49 |
| 1 3 1 | 2.828 | 100 |
| 2 1 -2 | 2.802 | 16 |
| 1 2 -3 | 2.663 | 21 |
| 0 1 4 | 2.554 | 27 |
| 1 2 4 | 2.188 | 20 |
| 1 4 -2 | 2.118 | 23 |
| 3 2 0 | 2.079 | 28 |
| 2 6 2 | 1.414 | 16 |

Structure and calculated powder XRD pattern of CaMo2O4 (a PBE+U-relaxed structure; CuKα).
Peak positions follow from Bragg's law for the DFT cell and can differ from measured ones.

Cell and atoms:
Lattice parameters (Å, degrees): 6.4660 11.2357 5.6052 90.00 90.00 90.00
Space group Pmmn (No. 59, origin choice 2)
Symmetry-distinct sites (fractional):
Ca1 0.2500 0.2500 0.0325 x2
Ca2 0.2500 0.7500 0.3511 x2
Mo1 0.0000 0.0000 0.5000 x4
Mo2 0.2500 0.5148 0.9887 x4
O1 0.0065 0.1056 0.8362 x8
O2 0.2500 0.0904 0.3087 x4
O3 0.2500 0.6040 0.6450 x4

Most intense lines, 2θ = 15–90°, by angle:
| (hkl) | d/Å | I/Imax |
| --- | --- | --- |
| 0 2 0 | 5.618 | 100 |
| 0 4 0 | 2.803 | 80 |
| 2 2 1 | 2.507 | 79 |
| 0 3 2 | 2.243 | 9 |
| 0 4 2 | 1.983 | 64 |
| 4 0 0 | 1.617 | 26 |
| 2 6 1 | 1.557 | 22 |
| 2 2 3 | 1.554 | 18 |
| 4 4 0 | 1.402 | 16 |
| 0 2 4 | 1.359 | 12 |
| 0 8 2 | 1.255 | 10 |
| 4 4 2 | 1.253 | 13 |

Structure and calculated powder XRD pattern of CsFeAgF6 (a PBE+U-relaxed structure; CuKα).
Peak positions follow from Bragg's law for the DFT cell and can differ from measured ones.

Cell and atoms:
Lattice parameters (Å, degrees): 7.5864 7.7214 10.8682 90.00 90.00 90.00
Space group Pnma (No. 62)
Symmetry-distinct sites (fractional):
Cs1 0.0165 0.2500 0.1255 x4
Fe1 0.0000 0.0000 0.5000 x4
Ag1 0.2035 0.2500 0.7568 x4
F1 0.0517 0.7500 0.1758 x4
F2 0.0580 0.2500 0.4833 x4
F3 0.1298 0.5067 0.6554 x8
F4 0.2193 0.5506 0.4145 x8

Most intense lines, 2θ = 15–90°, by angle:
| (hkl) | d/Å | I/Imax |
| --- | --- | --- |
| 0 2 0 | 3.861 | 14 |
| 1 1 2 | 3.834 | 28 |
| 0 1 3 | 3.278 | 100 |
| 2 1 1 | 3.249 | 51 |
| 0 2 2 | 3.147 | 20 |
| 2 0 2 | 3.110 | 14 |
| 0 3 3 | 2.098 | 14 |
| 0 1 5 | 2.091 | 24 |
| 3 0 3 | 2.075 | 13 |
| 0 4 0 | 1.930 | 13 |
| 2 2 4 | 1.917 | 29 |
| 2 4 2 | 1.641 | 10 |

Structure and calculated powder XRD pattern of Co2C3O9 (a PBE+U-relaxed structure; CuKα).
Peak positions follow from Bragg's law for the DFT cell and can differ from measured ones.

Cell and atoms:
Lattice parameters (Å, degrees): 7.4466 7.6213 7.6447 108.97 108.44 109.38
Space group P1 (No. 1)
Symmetry-distinct sites (fractional):
Co1 0.0000 0.0000 0.0000 x1
Co2 0.1008 0.7233 0.5677 x1
Co3 0.6064 0.1078 0.6922 x1
Co4 0.7154 0.5972 0.0676 x1
C1 0.1558 0.9646 0.3300 x1
C2 0.3528 0.1388 0.9259 x1
C3 0.4994 0.7264 0.7758 x1
C4 0.7239 0.8076 0.4593 x1
C5 0.8034 0.4975 0.6903 x1
C6 0.9560 0.3660 0.1133 x1
O1 0.0160 0.2614 0.1947 x1
O2 0.2435 0.2128 0.9923 x1
O3 0.2528 0.0369 0.2385 x1
O4 0.2549 0.9538 0.4965 x1
O5 0.2998 0.9404 0.8630 x1
O6 0.3291 0.6470 0.6010 x1
O7 0.5010 0.6271 0.8834 x1
O8 0.5213 0.2586 0.9189 x1
O9 0.6243 0.9173 0.4739 x1
O10 0.6262 0.3227 0.6101 x1
O11 0.6326 0.6333 0.2837 x1
O12 0.6673 0.9056 0.8385 x1
O13 0.8634 0.6564 0.8670 x1
O14 0.8977 0.3126 0.9167 x1
O15 0.9045 0.8626 0.6111 x1
O16 0.9113 0.5033 0.5888 x1
O17 0.9482 0.9048 0.2492 x1
O18 0.9505 0.5343 0.2273 x1

Most intense lines, 2θ = 15–90°, by angle:
| (hkl) | d/Å | I/Imax |
| --- | --- | --- |
| -1 1 1 | 4.420 | 100 |
| 1 1 -1 | 4.353 | 44 |
| -1 1 2 | 2.829 | 14 |
| 1 2 -1 | 2.786 | 23 |
| 2 -1 1 | 2.781 | 14 |
| -2 2 1 | 2.772 | 19 |
| 2 -2 1 | 2.762 | 12 |
| 0 3 -2 | 2.346 | 18 |
| 1 2 -3 | 2.339 | 22 |
| 3 -2 0 | 2.313 | 14 |
| 3 -2 2 | 1.727 | 12 |
| 3 2 -3 | 1.698 | 12 |